Structure and computed X-ray diffraction stick pattern of BaLi2Sn6 (DFT lattice parameters and positions (GGA-PBE); Cu Kα (weighted mean of Kα1 and Kα2)).

Main lines, by angle (2θ from 10° to 80°):
hkl 3 1 1, 2θ = 22.6°, I 15
hkl 4 0 0, 2θ = 27.4°, I 100
hkl 3 3 1, 2θ = 29.9°, I 24
hkl 3 3 3, 2θ = 35.8°, I 14
hkl 4 4 0, 2θ = 39.1°, I 74
hkl 4 4 4, 2θ = 48.4°, I 22
hkl 7 3 1, 2θ = 54.1°, I 18
hkl 8 4 0, 2θ = 63.9°, I 24
hkl 8 4 4, 2θ = 70.9°, I 16
hkl 7 7 3, 2θ = 75.5°, I 13

Structure:
a b c (Å): 13.0280 13.0280 13.0280
angles (deg): 90.00 90.00 90.00
Space group Fd-3m (No. 227, origin choice 2)
Symmetry-distinct sites (fractional):
Ba (0.1250, 0.1250, 0.1250) x8
Li (0.0000, 0.0000, 0.5000) x16
Sn (0.0997, 0.3750, 0.8750) x48

Structure and computed X-ray diffraction stick pattern of Ba2LiSn2 (DFT lattice parameters and positions (GGA-PBE); Cu Kα (weighted mean of Kα1 and Kα2)).

Main lines, by angle (2θ from 10° to 80°):
hkl 1 1 1, 2θ = 22.0°, I 31
hkl 1 1 -3, 2θ = 27.4°, I 100
hkl 3 1 -1, 2θ = 28.0°, I 55
hkl 4 0 -2, 2θ = 29.3°, I 27
hkl 3 1 -3, 2θ = 30.3°, I 23
hkl 0 0 4, 2θ = 32.4°, I 16
hkl 0 2 0, 2θ = 34.2°, I 38
hkl 3 1 1, 2θ = 34.5°, I 47
hkl 4 2 -2, 2θ = 45.6°, I 16
hkl 1 1 6, 2θ = 57.5°, I 21

Structure:
```
data_Ba2LiSn2
_cell_length_a 12.2082
_cell_length_b 5.2440
_cell_length_c 12.6220
_cell_angle_alpha 90.00
_cell_angle_beta 118.85
_cell_angle_gamma 90.00
_symmetry_space_group_name_H-M 'C 1 2/m 1'
_symmetry_Int_Tables_number 12
loop_
_symmetry_equiv_pos_as_xyz
'x,y,z'
'-x,-y,-z'
'-x,y,-z'
'x,-y,z'
'x+1/2,y+1/2,z'
'-x+1/2,-y+1/2,-z'
'-x+1/2,y+1/2,-z'
'x+1/2,-y+1/2,z'
loop_
_atom_site_label
_atom_site_type_symbol
_atom_site_fract_x
_atom_site_fract_y
_atom_site_fract_z
Ba1 Ba 0.0227 0.0000 0.3338
Ba2 Ba 0.1912 0.0000 0.1050
Li1 Li 0.2277 0.5000 0.3628
Sn1 Sn 0.0073 0.5000 0.8854
Sn2 Sn 0.1365 0.5000 0.5643
```

Structure and computed X-ray diffraction stick pattern of BaLi12Sn4 (DFT lattice parameters and positions (GGA-PBE); Cu Kα (weighted mean of Kα1 and Kα2)).

Main lines, by angle (2θ from 10° to 80°):
hkl 1 1 0, 2θ = 12.6°, I 21
hkl 2 0 0, 2θ = 17.8°, I 41
hkl 2 1 1, 2θ = 21.9°, I 15
hkl 2 2 0, 2θ = 25.3°, I 100
hkl 4 0 0, 2θ = 36.1°, I 23
hkl 4 0 2, 2θ = 40.6°, I 22
hkl 4 2 2, 2θ = 44.6°, I 50
hkl 4 4 0, 2θ = 52.0°, I 15
hkl 6 0 2, 2θ = 58.7°, I 21
hkl 6 4 2, 2θ = 70.9°, I 25

Structure:
```
data_BaLi12Sn4
_cell_length_a 9.9488
_cell_length_b 9.9488
_cell_length_c 9.9488
_cell_angle_alpha 90.00
_cell_angle_beta 90.00
_cell_angle_gamma 90.00
_symmetry_space_group_name_H-M 'I m -3'
_symmetry_Int_Tables_number 204
_symmetry_space_group_name_Hall '-I 2 2 3'
loop_
_atom_site_label
_atom_site_type_symbol
_atom_site_fract_x
_atom_site_fract_y
_atom_site_fract_z
Ba1 Ba 0.0000 0.0000 0.0000
Li1 Li 0.0000 0.3393 0.2057
Sn1 Sn 0.2500 0.2500 0.2500
```

Structure and computed X-ray diffraction stick pattern of BaSr14Li (DFT lattice parameters and positions (GGA-PBE); Cu Kα (weighted mean of Kα1 and Kα2)).

Main lines, by angle (2θ from 10° to 80°):
hkl 2 0 2, 2θ = 25.8°, I 100
hkl 2 2 0, 2θ = 29.5°, I 36
hkl 0 0 4, 2θ = 30.6°, I 16
hkl 4 0 0, 2θ = 42.2°, I 13
hkl 2 2 4, 2θ = 43.0°, I 25
hkl 4 2 2, 2θ = 50.1°, I 32
hkl 2 0 6, 2θ = 51.6°, I 14
hkl 4 0 4, 2θ = 53.0°, I 13
hkl 4 2 6, 2θ = 68.7°, I 12
hkl 6 2 4, 2θ = 77.7°, I 9

Structure:
```
data_BaSr14Li
_cell_length_a 8.5750
_cell_length_b 8.5750
_cell_length_c 11.6712
_cell_angle_alpha 90.00
_cell_angle_beta 90.00
_cell_angle_gamma 90.00
_symmetry_space_group_name_H-M 'P 4/m m m'
_symmetry_Int_Tables_number 123
_symmetry_space_group_name_Hall '-P 4 2'
loop_
_atom_site_label
_atom_site_type_symbol
_atom_site_fract_x
_atom_site_fract_y
_atom_site_fract_z
Ba1 Ba 0.0000 0.0000 0.0000
Sr1 Sr 0.0000 0.0000 0.5000
Sr2 Sr 0.0000 0.5000 0.0000
Sr3 Sr 0.0000 0.5000 0.5000
Sr4 Sr 0.2546 0.2546 0.2458
Sr5 Sr 0.5000 0.5000 0.5000
Li1 Li 0.5000 0.5000 0.0000
```

Structure and computed X-ray diffraction stick pattern of Ba4Sr8Li (DFT lattice parameters and positions (GGA-PBE); Cu Kα (weighted mean of Kα1 and Kα2)).

Main lines, by angle (2θ from 10° to 80°):
hkl 1 1 1, 2θ = 16.5°, I 5
hkl 0 2 0, 2θ = 26.3°, I 100
hkl 2 2 -5, 2θ = 37.6°, I 13
hkl 4 0 3, 2θ = 37.7°, I 6
hkl 3 3 -1, 2θ = 46.4°, I 25
hkl 4 2 3, 2θ = 46.5°, I 13
hkl 0 4 0, 2θ = 54.2°, I 9
hkl 5 3 -6, 2θ = 61.2°, I 9
hkl 7 1 2, 2θ = 61.3°, I 6
hkl 3 5 -1, 2θ = 74.0°, I 11

Structure:
```
data_Ba4Sr8Li
_cell_length_a 11.7324
_cell_length_b 6.7760
_cell_length_c 18.3508
_cell_angle_alpha 90.00
_cell_angle_beta 102.51
_cell_angle_gamma 90.00
_symmetry_space_group_name_H-M 'C 1 2/m 1'
_symmetry_Int_Tables_number 12
loop_
_symmetry_equiv_pos_as_xyz
'x,y,z'
'-x,-y,-z'
'-x,y,-z'
'x,-y,z'
'x+1/2,y+1/2,z'
'-x+1/2,-y+1/2,-z'
'-x+1/2,y+1/2,-z'
'x+1/2,-y+1/2,z'
loop_
_atom_site_label
_atom_site_type_symbol
_atom_site_fract_x
_atom_site_fract_y
_atom_site_fract_z
Ba1 Ba 0.1175 0.0000 0.3447
Ba2 Ba 0.1525 0.5000 0.9575
Sr1 Sr 0.0393 0.0000 0.1160
Sr2 Sr 0.0708 0.5000 0.7175
Sr3 Sr 0.1878 0.0000 0.5700
Sr4 Sr 0.2339 0.5000 0.1980
Li1 Li 0.0000 0.5000 0.5000
```

Structure and computed X-ray diffraction stick pattern of Ba2SrLi16 (DFT lattice parameters and positions (GGA-PBE); Cu Kα (weighted mean of Kα1 and Kα2)).

Main lines, by angle (2θ from 10° to 80°):
hkl 1 1 0, 2θ = 16.6°, I 100
hkl 1 1 3, 2θ = 23.8°, I 50
hkl 1 0 4, 2θ = 24.7°, I 29
hkl 3 0 0, 2θ = 28.9°, I 34
hkl 0 2 4, 2θ = 29.9°, I 21
hkl 2 2 0, 2θ = 33.5°, I 25
hkl 3 0 3, 2θ = 33.7°, I 27
hkl 2 1 4, 2θ = 34.3°, I 28
hkl 4 1 0, 2θ = 44.8°, I 16
hkl 2 1 7, 2θ = 48.2°, I 27

Structure:
```
data_Ba2SrLi16
_cell_length_a 10.7068
_cell_length_b 10.7068
_cell_length_c 15.6724
_cell_angle_alpha 90.00
_cell_angle_beta 90.00
_cell_angle_gamma 120.00
_symmetry_space_group_name_H-M 'R 3 m'
_symmetry_Int_Tables_number 160
_symmetry_space_group_name_Hall 'R 3 -2"'
loop_
_atom_site_label
_atom_site_type_symbol
_atom_site_fract_x
_atom_site_fract_y
_atom_site_fract_z
Ba1 Ba 0.0000 0.0000 0.0000
Ba2 Ba 0.0000 0.0000 0.2981
Sr1 Sr 0.0000 0.0000 0.7402
Li1 Li 0.0000 0.0000 0.5355
Li2 Li 0.0010 0.3001 0.6380
Li3 Li 0.0196 0.5098 0.1426
Li4 Li 0.1704 0.3408 0.8201
Li5 Li 0.1732 0.3463 0.1319
```

Structure and computed X-ray diffraction stick pattern of Ba2Sr6Li (DFT lattice parameters and positions (GGA-PBE); Cu Kα (weighted mean of Kα1 and Kα2)).

Main lines, by angle (2θ from 10° to 80°):
hkl 0 5 1, 2θ = 23.9°, I 40
hkl 1 3 1, 2θ = 26.0°, I 100
hkl 0 3 3, 2θ = 27.2°, I 75
hkl 1 2 2, 2θ = 27.5°, I 27
hkl 1 5 1, 2θ = 31.8°, I 24
hkl 1 6 2, 2θ = 38.0°, I 22
hkl 1 8 2, 2θ = 45.4°, I 23
hkl 1 9 1, 2θ = 47.3°, I 31
hkl 2 5 1, 2θ = 48.8°, I 12
hkl 2 3 3, 2θ = 50.7°, I 26

Structure:
```
data_Ba2Sr6Li
_cell_length_a 4.3113
_cell_length_b 19.6644
_cell_length_c 11.3531
_cell_angle_alpha 90.00
_cell_angle_beta 90.00
_cell_angle_gamma 90.00
_symmetry_space_group_name_H-M 'A m m 2'
_symmetry_Int_Tables_number 38
loop_
_symmetry_equiv_pos_as_xyz
'x,y,z'
'-x,-y,z'
'-x,y,z'
'x,-y,z'
'x,y+1/2,z+1/2'
'-x,-y+1/2,z+1/2'
'-x,y+1/2,z+1/2'
'x,-y+1/2,z+1/2'
loop_
_atom_site_label
_atom_site_type_symbol
_atom_site_fract_x
_atom_site_fract_y
_atom_site_fract_z
Ba1 Ba 0.0000 0.1669 0.0000
Sr1 Sr 0.0000 0.0000 0.7680
Sr2 Sr 0.0000 0.1336 0.3661
Sr3 Sr 0.5000 0.0000 0.1370
Sr4 Sr 0.5000 0.1811 0.6812
Li1 Li 0.5000 0.0000 0.5005
```

Structure and computed X-ray diffraction stick pattern of Ba5Sr4Li2 (DFT lattice parameters and positions (GGA-PBE); Cu Kα (weighted mean of Kα1 and Kα2)).

Main lines, by angle (2θ from 10° to 80°):
hkl 1 5 0, 2θ = 20.8°, I 24
hkl 1 3 1, 2θ = 23.5°, I 27
hkl 1 6 0, 2θ = 24.4°, I 27
hkl 3 1 0, 2θ = 25.4°, I 51
hkl 1 4 1, 2θ = 25.6°, I 82
hkl 3 2 0, 2θ = 26.3°, I 100
hkl 2 3 1, 2θ = 27.7°, I 35
hkl 1 7 0, 2θ = 28.1°, I 43
hkl 0 0 2, 2θ = 38.0°, I 24
hkl 3 8 1, 2θ = 44.5°, I 21

Structure:
```
data_Ba5Sr4Li2
_cell_length_a 10.6373
_cell_length_b 23.3315
_cell_length_c 4.7389
_cell_angle_alpha 90.00
_cell_angle_beta 90.00
_cell_angle_gamma 90.00
_symmetry_space_group_name_H-M 'P b a m'
_symmetry_Int_Tables_number 55
loop_
_symmetry_equiv_pos_as_xyz
'x,y,z'
'-x,-y,-z'
'-x,-y,z'
'x,y,-z'
'x+1/2,-y+1/2,-z'
'-x+1/2,y+1/2,z'
'-x+1/2,y+1/2,-z'
'x+1/2,-y+1/2,z'
loop_
_atom_site_label
_atom_site_type_symbol
_atom_site_fract_x
_atom_site_fract_y
_atom_site_fract_z
Ba1 Ba 0.0000 0.0000 0.0000
Ba2 Ba 0.1200 0.4144 0.0000
Ba3 Ba 0.2434 0.2164 0.0000
Sr1 Sr 0.0759 0.8503 0.5000
Sr2 Sr 0.2026 0.5631 0.5000
Li1 Li 0.0298 0.3012 0.5000
```